This entry pairs a crystal structure of Ce4HgC with its theoretical powder XRD pattern. Radiation: Cu Kα (λ = 1.5418 Å). Structure: a structure optimized by DFT (PBE).

Structural model:
a = 6.2841 Å, b = 6.4936 Å, c = 7.7835 Å
α = 74.35°, β = 73.98°, γ = 73.02°
Fractional positions:
Ce: 0.0115 0.0388 0.2713
Ce: 0.2369 0.4853 0.5292
Ce: 0.4199 0.2327 0.8348
Ce: 0.4592 0.8496 0.7275
Ce: 0.5408 0.1504 0.2725
Ce: 0.5801 0.7673 0.1652
Ce: 0.7631 0.5147 0.4708
Ce: 0.9885 0.9612 0.7287
Hg: 0.1543 0.5794 0.1048
Hg: 0.8457 0.4206 0.8952
C: 0.3185 0.8484 0.4533
C: 0.6815 0.1516 0.5467

Largest 10 diffraction maxima, sorted by position, 2θ = 15–90°:
- hkl 0 2 1, 2θ 29.41, I = 56
- hkl 2 1 0, 2θ 30.54, I = 82
- hkl 0 1 -2, 2θ 31.01, I = 100
- hkl 1 2 2, 2θ 32.10, I = 66
- hkl -1 1 2, 2θ 34.19, I = 33
- hkl 2 0 2, 2θ 34.84, I = 94
- hkl 2 0 -1, 2θ 35.30, I = 26
- hkl 1 -2 0, 2θ 36.35, I = 33
- hkl 0 1 3, 2θ 36.77, I = 48
- hkl 2 -1 4, 2θ 60.36, I = 23